No. 1
For Ba4PrMn3O12, a cell relaxed with PBE+U gives the calculated powder XRD pattern in this record (Cu Kα (λ = 1.5418 Å)).
No peak broadening, texture or thermal motion is included.

The 10 most intense peaks (2θ from 10° to 90°), most intense first:
2theta	I/Imax
30.2	100
27.2	79
41.1	47
29.6	34
51.8	24
53.7	19
62.8	19
42.8	17
55.5	14
46.0	13

Cell and atoms:
a b c (Å): 10.5524 10.5524 10.5524
angles (deg): 32.56 32.56 32.56
Positions (direct):
Ba  0.1306  0.1306  0.1306
Ba  0.2777  0.2777  0.2777
Ba  0.7223  0.7223  0.7223
Ba  0.8694  0.8694  0.8694
Pr  0.0000  0.0000  0.0000
Mn  0.4140  0.4140  0.4140
Mn  0.5000  0.5000  0.5000
Mn  0.5860  0.5860  0.5860
O  0.1662  0.6059  0.6059
O  0.2267  0.2267  0.6903
O  0.2267  0.6903  0.2267
O  0.3097  0.7733  0.7733
O  0.3941  0.3941  0.8338
O  0.3941  0.8338  0.3941
O  0.6059  0.1662  0.6059
O  0.6059  0.6059  0.1662
O  0.6903  0.2267  0.2267
O  0.7733  0.3097  0.7733
O  0.7733  0.7733  0.3097
O  0.8338  0.3941  0.3941

---

No. 2
For MnGaH4O2F5, a cell relaxed with PBE+U gives the calculated powder XRD pattern in this record (Cu Kα (λ = 1.5418 Å)).
No peak broadening, texture or thermal motion is included.

The 10 most intense peaks (2θ from 10° to 90°), most intense first:
2theta	I/Imax
15.6	100
28.5	47
28.1	44
49.2	36
27.8	36
31.4	34
24.0	28
17.7	22
47.6	16
47.9	12

Cell and atoms:
a b c (Å): 7.4707 7.4707 7.4707
angles (deg): 118.50 85.46 127.02
Positions (direct):
Mn  0.0000  0.0000  0.0000
Mn  0.5000  0.0000  0.5000
Ga  0.5000  0.0000  0.0000
Ga  0.5000  0.5000  0.5000
H  0.0208  0.5151  0.3002
H  0.0208  0.7206  0.5057
H  0.2851  0.2794  0.8002
H  0.2851  0.4849  0.0057
H  0.7149  0.5151  0.9943
H  0.7149  0.7206  0.1998
H  0.9792  0.2794  0.4943
H  0.9792  0.4849  0.6998
O  0.1234  0.7003  0.4231
O  0.2227  0.2997  0.9231
O  0.7773  0.7003  0.0769
O  0.8766  0.2997  0.5769
F  0.1785  0.2674  0.3414
F  0.1785  0.8371  0.9111
F  0.4260  0.2674  0.5889
F  0.4260  0.8371  0.1586
F  0.4351  0.6851  0.7500
F  0.5649  0.3149  0.2500
F  0.5740  0.1629  0.8414
F  0.5740  0.7326  0.4111
F  0.8215  0.1629  0.0889
F  0.8215  0.7326  0.6586

---

No. 3
For Li3VB2O6, a cell relaxed with PBE+U gives the calculated powder XRD pattern in this record (Cu Kα (λ = 1.5418 Å)).
No peak broadening, texture or thermal motion is included.

The 10 most intense peaks (2θ from 10° to 90°), most intense first:
2theta	I/Imax
18.1	100
23.4	58
30.0	37
17.1	35
36.8	35
39.7	31
20.7	24
11.9	22
46.1	21
34.2	21

Cell and atoms:
a b c (Å): 8.2229 6.5021 9.5274
angles (deg): 90.00 115.66 90.00
Positions (direct):
Li  0.0896  0.2451  0.4816
Li  0.0896  0.2549  0.9816
Li  0.2212  0.5484  0.6715
Li  0.2212  0.9516  0.1715
Li  0.3358  0.7221  0.0347
Li  0.3358  0.7779  0.5347
Li  0.6642  0.2221  0.4653
Li  0.6642  0.2779  0.9653
Li  0.7788  0.0484  0.8285
Li  0.7788  0.4516  0.3285
Li  0.9104  0.7451  0.0184
Li  0.9104  0.7549  0.5184
V  0.3169  0.0391  0.8145
V  0.3169  0.4609  0.3145
V  0.6831  0.5391  0.6855
V  0.6831  0.9609  0.1855
B  0.0418  0.6545  0.3111
B  0.0418  0.8455  0.8111
B  0.4330  0.1675  0.6185
B  0.4330  0.3325  0.1185
B  0.5670  0.6675  0.8815
B  0.5670  0.8325  0.3815
B  0.9582  0.1545  0.1889
B  0.9582  0.3455  0.6889
O  0.1215  0.6963  0.2118
O  0.1215  0.8037  0.7118
O  0.1262  0.2132  0.2083
O  0.1262  0.2868  0.7083
O  0.1572  0.5359  0.4391
O  0.1572  0.9641  0.9391
O  0.2789  0.0506  0.5634
O  0.2789  0.4494  0.0634
O  0.4644  0.6429  0.7236
O  0.4644  0.8571  0.2236
O  0.4841  0.1947  0.0339
O  0.4841  0.3053  0.5339
O  0.5159  0.6947  0.4661
O  0.5159  0.8053  0.9661
O  0.5356  0.1429  0.7764
O  0.5356  0.3571  0.2764
O  0.7211  0.5506  0.9366
O  0.7211  0.9494  0.4366
O  0.8428  0.0359  0.0609
O  0.8428  0.4641  0.5609
O  0.8738  0.7132  0.2917
O  0.8738  0.7868  0.7917
O  0.8785  0.1963  0.2882
O  0.8785  0.3037  0.7882